(1)
Structure and computed XRD peak list of TaNb2As3 (the GGA-PBE geometry in Alexandria; Cu Kα, 1.54184 Å).
Intensities are scaled so that the largest is 1000.

Main lines, by angle (10° ≤ 2θ ≤ 90°):
hkl 0 3 1, 2θ = 30.5°, d = 2.934 Å, I = 197; hkl 1 2 1, 2θ = 34.6°, d = 2.594 Å, I = 208; hkl 1 0 2, 2θ = 39.0°, d = 2.308 Å, I = 164; hkl 0 3 2, 2θ = 39.8°, d = 2.264 Å, I = 189; hkl 1 3 1, 2θ = 40.1°, d = 2.247 Å, I = 1000; hkl 0 2 3, 2θ = 47.8°, d = 1.902 Å, I = 190; hkl 2 0 0, 2θ = 52.5°, d = 1.743 Å, I = 177; hkl 1 6 3, 2θ = 78.8°, d = 1.214 Å, I = 153

Structural model:
Cell: 3.485 10.010 6.163 Å, 90.00 90.00 90.00°
Space group Pmc2_1 (No. 26)
Unique sites:
1 Ta 0.000 0.110 0.000 [2 per cell]
2 Nb 0.000 0.215 0.482 [2 per cell]
3 Nb 0.500 0.459 0.494 [2 per cell]
4 As 0.000 0.378 0.800 [2 per cell]
5 As 0.500 0.059 0.676 [2 per cell]
6 As 0.500 0.284 0.175 [2 per cell]

=====

(2)
Structure and computed XRD peak list of Nb3TcAs (the GGA-PBE geometry in Alexandria; Cu Kα, 1.54184 Å).
Intensities are scaled so that the largest is 1000.

Main lines, by angle (10° ≤ 2θ ≤ 90°):
hkl 1 0 0, 2θ = 19.0°, d = 4.682 Å, I = 151; hkl 1 1 0, 2θ = 26.9°, d = 3.311 Å, I = 164; hkl 1 1 1, 2θ = 33.1°, d = 2.703 Å, I = 898; hkl 2 0 0, 2θ = 38.5°, d = 2.341 Å, I = 1000; hkl 2 2 0, 2θ = 55.5°, d = 1.655 Å, I = 671; hkl 3 1 1, 2θ = 66.2°, d = 1.412 Å, I = 343; hkl 2 2 2, 2θ = 69.6°, d = 1.352 Å, I = 223; hkl 4 0 0, 2θ = 82.4°, d = 1.170 Å, I = 105

Structural model:
Cell: 4.682 4.682 4.682 Å, 90.00 90.00 90.00°
Space group Pm-3m (No. 221)
Unique sites:
1 Nb 0.000 0.000 0.500 [3 per cell]
2 Tc 0.500 0.500 0.500 [1 per cell]
3 As 0.000 0.000 0.000 [1 per cell]

=====

(3)
Structure and computed XRD peak list of NbTe3As (the GGA-PBE geometry in Alexandria; Cu Kα, 1.54184 Å).
Intensities are scaled so that the largest is 1000.

Main lines, by angle (10° ≤ 2θ ≤ 90°):
hkl 2 0 0, 2θ = 10.5°, d = 8.428 Å, I = 845; hkl 4 0 -1, 2θ = 19.3°, d = 4.593 Å, I = 260; hkl 1 1 -1, 2θ = 21.9°, d = 4.055 Å, I = 388; hkl 1 1 1, 2θ = 24.4°, d = 3.654 Å, I = 300; hkl 5 1 -2, 2θ = 33.5°, d = 2.676 Å, I = 1000; hkl 0 2 0, 2θ = 38.2°, d = 2.354 Å, I = 475; hkl 6 0 1, 2θ = 39.1°, d = 2.307 Å, I = 478; hkl 1 1 -3, 2θ = 40.4°, d = 2.233 Å, I = 451

Structural model:
Cell: 18.643 4.709 7.976 Å, 90.00 115.29 90.00°
Space group C2/m (No. 12)
Unique sites:
1 Nb 0.244 0.000 0.245 [4 per cell]
2 Te 0.095 0.000 0.950 [4 per cell]
3 Te 0.103 0.500 0.724 [4 per cell]
4 Te 0.165 0.500 0.361 [4 per cell]
5 As 0.243 0.000 0.874 [4 per cell]

=====

(4)
Structure and computed XRD peak list of Nb12TlTe12As4 (the GGA-PBE geometry in Alexandria; Cu Kα, 1.54184 Å).
Intensities are scaled so that the largest is 1000.

Main lines, by angle (10° ≤ 2θ ≤ 90°):
hkl 0 0 3, 2θ = 29.4°, d = 3.041 Å, I = 453; hkl 2 2 -2, 2θ = 30.1°, d = 2.966 Å, I = 426; hkl 0 2 2, 2θ = 31.7°, d = 2.821 Å, I = 397; hkl 8 0 -1, 2θ = 35.5°, d = 2.530 Å, I = 1000; hkl 4 2 -3, 2θ = 36.1°, d = 2.487 Å, I = 919; hkl 4 2 2, 2θ = 42.6°, d = 2.123 Å, I = 657; hkl 6 2 -5, 2θ = 50.5°, d = 1.808 Å, I = 318; hkl 8 4 -1, 2θ = 63.5°, d = 1.464 Å, I = 360

Structural model:
Cell: 21.064 7.180 10.536 Å, 90.00 120.00 90.00°
Space group Cm (No. 8)
Unique sites:
1 Nb 0.000 0.000 0.000 [2 per cell]
2 Nb 0.001 0.500 0.001 [2 per cell]
3 Nb 0.127 0.249 0.245 [4 per cell]
4 Nb 0.254 0.251 0.132 [4 per cell]
5 Nb 0.311 0.248 0.499 [4 per cell]
6 Nb 0.314 0.500 0.753 [2 per cell]
7 Nb 0.316 0.000 0.751 [2 per cell]
8 Nb 0.375 0.500 0.121 [2 per cell]
9 Nb 0.377 0.000 0.125 [2 per cell]
10 Tl 0.064 0.000 0.626 [2 per cell]
11 Te 0.037 0.000 0.290 [2 per cell]
12 Te 0.038 0.500 0.294 [2 per cell]
13 Te 0.090 0.250 0.953 [4 per cell]
14 Te 0.201 0.249 0.573 [4 per cell]
15 Te 0.229 0.500 0.904 [2 per cell]
16 Te 0.232 0.000 0.909 [2 per cell]
17 Te 0.400 0.251 0.350 [4 per cell]
18 Te 0.422 0.500 0.678 [2 per cell]
19 Te 0.424 0.000 0.676 [2 per cell]
20 As 0.230 0.000 0.291 [2 per cell]
21 As 0.230 0.500 0.293 [2 per cell]
22 As 0.397 0.250 0.959 [4 per cell]

=====

(5)
Structure and computed XRD peak list of ThNbAs3 (the GGA-PBE geometry in Alexandria; Cu Kα, 1.54184 Å).
Intensities are scaled so that the largest is 1000.

Main lines, by angle (10° ≤ 2θ ≤ 90°):
hkl 1 1 1, 2θ = 22.5°, d = 3.957 Å, I = 606; hkl 2 1 1, 2θ = 25.6°, d = 3.475 Å, I = 345; hkl 2 2 0, 2θ = 33.3°, d = 2.690 Å, I = 583; hkl 2 0 2, 2θ = 33.8°, d = 2.649 Å, I = 513; hkl 5 0 0, 2θ = 35.8°, d = 2.511 Å, I = 1000; hkl 3 2 0, 2θ = 37.0°, d = 2.427 Å, I = 232; hkl 0 2 2, 2θ = 43.4°, d = 2.085 Å, I = 526; hkl 2 4 2, 2θ = 72.9°, d = 1.298 Å, I = 234

Structural model:
Cell: 12.574 5.953 5.840 Å, 90.00 90.00 90.00°
Space group Pbcm (No. 57)
Unique sites:
1 Th 0.182 0.005 0.250 [4 per cell]
2 Nb 0.423 0.750 0.000 [4 per cell]
3 As 0.001 0.750 0.000 [4 per cell]
4 As 0.269 0.518 0.250 [4 per cell]
5 As 0.415 0.119 0.250 [4 per cell]

=====

(6)
Structure and computed XRD peak list of TiNb2As (the GGA-PBE geometry in Alexandria; Cu Kα, 1.54184 Å).
Intensities are scaled so that the largest is 1000.

Main lines, by angle (10° ≤ 2θ ≤ 90°):
hkl 2 3 1, 2θ = 35.9°, d = 2.503 Å, I = 785; hkl 3 3 0, 2θ = 36.9°, d = 2.435 Å, I = 1000; hkl 4 2 0, 2θ = 39.0°, d = 2.307 Å, I = 405; hkl 1 4 1, 2θ = 40.0°, d = 2.252 Å, I = 708; hkl 2 2 2, 2θ = 42.9°, d = 2.109 Å, I = 378; hkl 1 5 0, 2θ = 44.8°, d = 2.024 Å, I = 498; hkl 3 4 1, 2θ = 47.5°, d = 1.916 Å, I = 160; hkl 6 0 2, 2θ = 65.2°, d = 1.431 Å, I = 195

Structural model:
Cell: 10.313 10.313 5.171 Å, 90.00 90.00 90.00°
Space group I-4 (No. 82)
Unique sites:
1 Ti 0.193 0.220 0.246 [8 per cell]
2 Nb 0.014 0.646 0.989 [8 per cell]
3 Nb 0.083 0.098 0.771 [8 per cell]
4 As 0.027 0.711 0.488 [8 per cell]

=====

(7)
Structure and computed XRD peak list of TmNbAs (the GGA-PBE geometry in Alexandria; Cu Kα, 1.54184 Å).
Intensities are scaled so that the largest is 1000.

Main lines, by angle (10° ≤ 2θ ≤ 90°):
hkl 1 1 0, 2θ = 32.0°, d = 2.798 Å, I = 317; hkl 1 0 2, 2θ = 32.4°, d = 2.761 Å, I = 707; hkl 1 1 1, 2θ = 34.1°, d = 2.630 Å, I = 1000; hkl 0 0 3, 2θ = 34.9°, d = 2.570 Å, I = 352; hkl 1 1 2, 2θ = 39.8°, d = 2.264 Å, I = 664; hkl 1 0 3, 2θ = 41.9°, d = 2.156 Å, I = 329; hkl 2 0 0, 2θ = 45.9°, d = 1.978 Å, I = 606; hkl 2 0 3, 2θ = 58.9°, d = 1.568 Å, I = 308

Structural model:
Cell: 3.956 3.956 7.711 Å, 90.00 90.00 90.00°
Space group P4/nmm (No. 129, origin choice 2)
Unique sites:
1 Tm 0.250 0.250 0.141 [2 per cell]
2 Nb 0.250 0.750 0.500 [2 per cell]
3 As 0.250 0.250 0.754 [2 per cell]

=====

(8)
Structure and computed XRD peak list of Nb2VAs3 (the GGA-PBE geometry in Alexandria; Cu Kα, 1.54184 Å).
Intensities are scaled so that the largest is 1000.

Main lines, by angle (10° ≤ 2θ ≤ 90°):
hkl 0 3 1, 2θ = 30.8°, d = 2.899 Å, I = 463; hkl 1 2 1, 2θ = 35.3°, d = 2.542 Å, I = 619; hkl 0 3 2, 2θ = 40.3°, d = 2.239 Å, I = 626; hkl 1 1 2, 2θ = 40.8°, d = 2.212 Å, I = 1000; hkl 1 3 1, 2θ = 41.0°, d = 2.204 Å, I = 945; hkl 1 4 0, 2θ = 45.5°, d = 1.995 Å, I = 491; hkl 2 0 0, 2θ = 54.1°, d = 1.696 Å, I = 382; hkl 1 6 3, 2θ = 80.1°, d = 1.198 Å, I = 381

Structural model:
Cell: 3.392 9.879 6.109 Å, 90.00 90.00 90.00°
Space group Pmc2_1 (No. 26)
Unique sites:
1 Nb 0.000 0.043 0.000 [2 per cell]
2 Nb 0.500 0.297 0.990 [2 per cell]
3 V 0.500 0.389 0.517 [2 per cell]
4 As 0.000 0.218 0.679 [2 per cell]
5 As 0.000 0.451 0.207 [2 per cell]
6 As 0.500 0.129 0.309 [2 per cell]